Record 1
Starting from a structure optimized by DFT (GGA-PBE), the X-ray powder pattern of Ac4SiHgBr2 was simulated for Cu Kα.

Most intense lines, 2θ = 10–80°, by angle:
d (Å)	I/Imax
3.887	13
3.772	20
3.282	50
3.267	100
2.363	42
2.317	18
2.304	20
2.271	35
1.945	14
1.886	22

Crystal structure
a = 7.833 Å, b = 4.609 Å, c = 8.256 Å
α = 90.00°, β = 109.60°, γ = 90.00°
Positions (direct):
Ac 0.227 0.000 0.232
Ac 0.231 0.500 0.754
Ac 0.769 0.500 0.246
Ac 0.773 0.000 0.768
Si 0.000 0.500 0.000
Hg 0.000 0.000 0.500
Br 0.500 0.000 0.000
Br 0.500 0.500 0.500

***

Record 2
Starting from a structure optimized by DFT (GGA-PBE), the X-ray powder pattern of VW2Se was simulated for Cu Kα.

Most intense lines, 2θ = 10–80°, by angle:
d (Å)	I/Imax
4.851	44
2.551	100
2.426	35
2.047	53
1.870	8
1.745	52
1.564	23
1.322	10
1.228	10
1.223	16

Crystal structure
a = 10.056 Å, b = 10.056 Å, c = 10.056 Å
α = 158.57°, β = 158.57°, γ = 30.49°
Positions (direct):
V 0.000 0.000 0.000
V 0.750 0.250 0.500
W 0.124 0.625 0.999
W 0.375 0.374 0.499
W 0.626 0.125 0.001
W 0.875 0.876 0.501
Se 0.250 0.750 0.500
Se 0.500 0.500 0.000

***

Record 3
Starting from a structure optimized by DFT (GGA-PBE), the X-ray powder pattern of Pm2Tm2Sn3 was simulated for Cu Kα.

Most intense lines, 2θ = 10–80°, by angle:
d (Å)	I/Imax
2.678	100
2.586	23
2.472	20
2.023	11
1.787	15
1.593	10
1.566	10
1.510	18
1.464	16
1.339	12

Crystal structure
a = 8.846 Å, b = 8.846 Å, c = 8.846 Å
α = 147.54°, β = 146.01°, γ = 47.71°
Positions (direct):
Pm 0.120 0.120 0.000
Pm 0.880 0.880 0.000
Tm 0.378 0.378 0.000
Tm 0.622 0.622 0.000
Sn 0.247 0.747 0.500
Sn 0.500 0.000 0.500
Sn 0.753 0.253 0.500

***

Record 4
Starting from a structure optimized by DFT (GGA-PBE), the X-ray powder pattern of SmHoGeRh was simulated for Cu Kα.

Most intense lines, 2θ = 10–80°, by angle:
d (Å)	I/Imax
3.278	17
2.824	100
2.685	35
2.655	25
2.257	53
2.239	19
2.083	24
2.060	23
1.646	16
1.628	20

Crystal structure
a = 4.166 Å, b = 5.696 Å, c = 5.696 Å
α = 42.40°, β = 90.00°, γ = 90.00°
Positions (direct):
Sm 0.000 0.000 0.000
Ho 0.500 0.281 0.281
Ge 0.500 0.571 0.571
Rh 0.000 0.725 0.725